(1)
For K2Na9Cd4, a DFT-relaxed cell (GGA-PBE, Alexandria) gives the simulated XRD peak list in this record (λ = 1.5418 Å (Cu Kα)).
Kinematic intensities with the Lorentz-polarization factor, no thermal factor.

Peak list (10 most intense, 10 to 90 degrees two-theta, by angle)
18.2°, intensity 34
18.5°, intensity 27
19.1°, intensity 36
23.1°, intensity 81
29.5°, intensity 66
32.3°, intensity 100
37.4°, intensity 63
44.4°, intensity 21
56.0°, intensity 20
61.0°, intensity 21

Crystal structure
```
data_K2Na9Cd4
_space_group_name_H-M_alt 'P 1'
_space_group_IT_number 1
_cell_length_a 5.5373
_cell_length_b 5.5373
_cell_length_c 19.4739
_cell_angle_alpha 90.00
_cell_angle_beta 90.00
_cell_angle_gamma 120.00
loop_
_space_group_symop_operation_xyz
'x,y,z'
loop_
_atom_site_label
_atom_site_type_symbol
_atom_site_fract_x
_atom_site_fract_y
_atom_site_fract_z
K1 K 0.3333 0.6667 0.2661
K2 K 0.6667 0.3333 0.7339
Na1 Na 0.0000 0.0000 0.0000
Na2 Na 0.0000 0.0000 0.1684
Na3 Na 0.0000 0.0000 0.3979
Na4 Na 0.0000 0.0000 0.6021
Na5 Na 0.0000 0.0000 0.8316
Na6 Na 0.3333 0.6667 0.0625
Na7 Na 0.3333 0.6667 0.4607
Na8 Na 0.6667 0.3333 0.5393
Na9 Na 0.6667 0.3333 0.9375
Cd1 Cd 0.3333 0.6667 0.6260
Cd2 Cd 0.3333 0.6667 0.8895
Cd3 Cd 0.6667 0.3333 0.1105
Cd4 Cd 0.6667 0.3333 0.3740
```

(2)
For K2Sr, a DFT-relaxed cell (GGA-PBE, Alexandria) gives the simulated XRD peak list in this record (λ = 1.5418 Å (Cu Kα)).
Kinematic intensities with the Lorentz-polarization factor, no thermal factor.

Peak list (10 most intense, 10 to 90 degrees two-theta, by angle)
11.8°, intensity 18
23.0°, intensity 36
23.7°, intensity 54
25.4°, intensity 34
25.8°, intensity 100
26.0°, intensity 64
33.4°, intensity 20
40.0°, intensity 24
42.8°, intensity 17
43.2°, intensity 23

Crystal structure
```
data_K2Sr
_space_group_name_H-M_alt 'P 1'
_space_group_IT_number 1
_cell_length_a 8.7072
_cell_length_b 8.7072
_cell_length_c 10.9732
_cell_angle_alpha 106.03
_cell_angle_beta 106.03
_cell_angle_gamma 29.55
loop_
_space_group_symop_operation_xyz
'x,y,z'
loop_
_atom_site_label
_atom_site_type_symbol
_atom_site_fract_x
_atom_site_fract_y
_atom_site_fract_z
K1 K 0.0000 0.0000 0.0000
K2 K 0.0558 0.0558 0.6097
K3 K 0.3319 0.3319 0.6660
K4 K 0.6649 0.6649 0.3261
Sr1 Sr 0.3827 0.3827 0.2652
Sr2 Sr 0.7281 0.7281 0.9544
```